[1]
The following is a calculated powder XRD pattern of TcRh3. It was derived from a cell relaxed with GGA-PBE, using λ = 1.5418 Å (Cu Kα).
Intensities are scaled so that the largest is 100.

The 5 most intense peaks (2θ from 15° to 90°), low angle first:
d 2.220, I 100.0
d 1.922, I 48.2
d 1.359, I 30.1
d 1.159, I 35.9
d 1.110, I 10.7

Structure:
```
TcRh3
1.0
3.8449 0.0000 0.0000
0.0000 3.8449 0.0000
0.0000 0.0000 3.8449
Tc Rh
1 3
Direct
0.0000 0.0000 0.0000
0.0000 0.5000 0.5000
0.5000 0.0000 0.5000
0.5000 0.5000 0.0000
```

=====

[2]
The following is a calculated powder XRD pattern of TcRh3. It was derived from a cell relaxed with GGA-PBE, using λ = 1.5418 Å (Cu Kα).
Intensities are scaled so that the largest is 100.

The 6 most intense peaks (2θ from 15° to 90°), low angle first:
d 2.221, I 90.2
d 2.210, I 91.4
d 2.086, I 52.8
d 2.080, I 100.0
d 1.921, I 60.2
d 1.161, I 55.6

Structure:
```
TcRh3
1.0
5.4365 0.0000 0.0000
0.0000 13.2603 0.0000
0.0000 0.0000 4.7313
Tc Rh
6 18
Direct
0.2500 0.0859 0.1709
0.2500 0.4141 0.1709
0.2500 0.7500 0.4986
0.7500 0.2500 0.5014
0.7500 0.5859 0.8291
0.7500 0.9141 0.8291
0.9996 0.0827 0.6679
0.9996 0.4173 0.6679
0.0004 0.5827 0.3321
0.0004 0.9173 0.3321
0.0017 0.7500 0.0039
0.2500 0.2500 0.4895
0.2500 0.5862 0.8312
0.2500 0.9138 0.8312
0.4983 0.7500 0.0039
0.5004 0.0827 0.6679
0.5004 0.4173 0.6679
0.4996 0.5827 0.3321
0.4996 0.9173 0.3321
0.5017 0.2500 0.9961
0.7500 0.0862 0.1688
0.7500 0.4138 0.1688
0.7500 0.7500 0.5105
0.9983 0.2500 0.9961
```

=====

[3]
The following is a calculated powder XRD pattern of Tc5Rh4. It was derived from a cell relaxed with GGA-PBE, using λ = 1.5418 Å (Cu Kα).
Intensities are scaled so that the largest is 100.

The 6 most intense peaks (2θ from 15° to 90°), low angle first:
d 2.191, I 92.5
d 2.161, I 100.0
d 1.539, I 29.6
d 1.253, I 29.2
d 1.248, I 16.2
d 1.146, I 25.1

Structure:
```
Tc5Rh4
1.0
7.4862 0.0000 0.0000
-3.7431 6.4832 0.0000
0.0000 0.0000 5.4065
Tc Rh
10 8
Direct
0.0000 0.3357 0.2500
0.0000 0.6643 0.7500
0.3333 0.6667 0.0000
0.3333 0.6667 0.5000
0.3357 0.0000 0.2500
0.3357 0.3357 0.7500
0.6643 0.0000 0.7500
0.6643 0.6643 0.2500
0.6667 0.3333 0.0000
0.6667 0.3333 0.5000
0.0000 0.0000 0.0000
0.0000 0.0000 0.5000
0.0000 0.3334 0.7500
0.0000 0.6666 0.2500
0.3334 0.0000 0.7500
0.3334 0.3334 0.2500
0.6666 0.0000 0.2500
0.6666 0.6666 0.7500
```

=====

[4]
The following is a calculated powder XRD pattern of Ti5TcRh4. It was derived from a cell relaxed with GGA-PBE, using λ = 1.5418 Å (Cu Kα).
Intensities are scaled so that the largest is 100.

The 6 most intense peaks (2θ from 15° to 90°), low angle first:
d 3.142, I 19.8
d 2.222, I 53.0
d 2.183, I 100.0
d 1.571, I 17.0
d 1.275, I 32.6
d 1.253, I 15.2

Structure:
```
Ti5TcRh4
1.0
3.1424 0.0000 0.0000
0.0000 3.1424 0.0000
0.0000 0.0000 15.1762
Ti Tc Rh
5 1 4
Direct
0.0000 0.0000 0.0000
0.0000 0.0000 0.2001
0.0000 0.0000 0.4029
0.0000 0.0000 0.5971
0.0000 0.0000 0.7999
0.5000 0.5000 0.5000
0.5000 0.5000 0.0998
0.5000 0.5000 0.2971
0.5000 0.5000 0.7029
0.5000 0.5000 0.9002
```

=====

[5]
The following is a calculated powder XRD pattern of Ti5Tc4Rh. It was derived from a cell relaxed with GGA-PBE, using λ = 1.5418 Å (Cu Kα).
Intensities are scaled so that the largest is 100.

The 6 most intense peaks (2θ from 15° to 90°), low angle first:
d 3.105, I 17.6
d 2.196, I 100.0
d 1.551, I 10.6
d 1.269, I 10.4
d 1.267, I 20.8
d 1.098, I 6.7

Structure:
```
Ti5Tc4Rh
1.0
3.1026 0.0000 0.0000
0.0000 3.1026 0.0000
0.0000 0.0000 15.5499
Ti Tc Rh
5 4 1
Direct
0.0000 0.0000 0.0000
0.0000 0.0000 0.2002
0.0000 0.0000 0.3958
0.0000 0.0000 0.6042
0.0000 0.0000 0.7998
0.5000 0.5000 0.0998
0.5000 0.5000 0.3012
0.5000 0.5000 0.6988
0.5000 0.5000 0.9002
0.5000 0.5000 0.5000
```

=====

[6]
The following is a calculated powder XRD pattern of Tm4TcRh. It was derived from a cell relaxed with GGA-PBE, using λ = 1.5418 Å (Cu Kα).
Intensities are scaled so that the largest is 100.

The 6 most intense peaks (2θ from 15° to 90°), low angle first:
d 2.836, I 100.0
d 2.798, I 61.3
d 2.723, I 37.1
d 2.562, I 33.6
d 2.528, I 85.7
d 2.129, I 45.9

Structure:
```
Tm4TcRh
1.0
7.4224 0.0000 0.0000
0.0000 4.2581 0.0000
0.0000 0.0000 17.7123
Tm Tc Rh
16 4 4
Direct
0.0106 0.2500 0.0723
0.0652 0.2500 0.7799
0.1032 0.2500 0.3501
0.1478 0.2500 0.5480
0.3522 0.7500 0.0480
0.3968 0.7500 0.8501
0.4348 0.7500 0.2799
0.4894 0.7500 0.5723
0.5106 0.2500 0.4277
0.5652 0.2500 0.7201
0.6032 0.2500 0.1499
0.6478 0.2500 0.9520
0.8522 0.7500 0.4520
0.8968 0.7500 0.6499
0.9348 0.7500 0.2201
0.9894 0.7500 0.9277
0.2490 0.2500 0.9385
0.2510 0.7500 0.4385
0.7490 0.2500 0.5615
0.7510 0.7500 0.0615
0.2360 0.2500 0.2022
0.2640 0.7500 0.7022
0.7360 0.2500 0.2978
0.7640 0.7500 0.7978
```

=====

[7]
The following is a calculated powder XRD pattern of Tm6TcRh. It was derived from a cell relaxed with GGA-PBE, using λ = 1.5418 Å (Cu Kα).
Intensities are scaled so that the largest is 100.

The 6 most intense peaks (2θ from 15° to 90°), low angle first:
d 3.007, I 17.9
d 2.800, I 100.0
d 2.180, I 33.5
d 1.827, I 25.7
d 1.693, I 22.8
d 1.530, I 13.9

Structure:
```
Tm6TcRh
1.0
6.3277 0.0000 0.0000
-3.1638 5.4799 0.0000
0.0000 0.0000 6.0140
Tm Tc Rh
6 1 1
Direct
0.0000 0.3601 0.2488
0.0000 0.6399 0.7512
0.3601 0.0000 0.2488
0.3601 0.3601 0.7512
0.6399 0.0000 0.7512
0.6399 0.6399 0.2488
0.0000 0.0000 0.0000
0.0000 0.0000 0.5000
```

=====

[8]
The following is a calculated powder XRD pattern of VTcRh. It was derived from a cell relaxed with GGA-PBE, using λ = 1.5418 Å (Cu Kα).
Intensities are scaled so that the largest is 100.

The 6 most intense peaks (2θ from 15° to 90°), low angle first:
d 2.416, I 18.5
d 2.247, I 15.0
d 2.129, I 100.0
d 2.121, I 49.3
d 1.227, I 15.1
d 1.209, I 15.0

Structure:
```
VTcRh
1.0
2.9414 0.0000 0.0000
0.0000 6.3682 2.2466
0.0000 -6.3682 2.2466
V Tc Rh
2 2 2
Direct
0.0000 0.1658 0.8342
0.0000 0.8342 0.1658
0.5000 0.3289 0.6737
0.5000 0.6737 0.3289
0.0000 0.3592 0.3592
0.5000 0.8595 0.8595
```

=====

[9]
The following is a calculated powder XRD pattern of TcRhW2. It was derived from a cell relaxed with GGA-PBE, using λ = 1.5418 Å (Cu Kα).
Intensities are scaled so that the largest is 100.

The 6 most intense peaks (2θ from 15° to 90°), low angle first:
d 2.280, I 100.0
d 2.270, I 99.3
d 1.991, I 32.8
d 1.960, I 64.2
d 1.397, I 41.2
d 1.182, I 24.6

Structure:
```
TcRhW2
1.0
4.6213 -1.3816 0.0000
4.6213 1.3816 0.0000
-0.7941 0.0000 4.7917
Tc Rh W
1 1 2
Direct
0.0000 0.0000 0.0000
0.7408 0.7408 0.2564
0.2452 0.2452 0.7629
0.4869 0.4869 0.4876
```

=====

[10]
The following is a calculated powder XRD pattern of TcRh4W. It was derived from a cell relaxed with GGA-PBE, using λ = 1.5418 Å (Cu Kα).
Intensities are scaled so that the largest is 100.

The 6 most intense peaks (2θ from 15° to 90°), low angle first:
d 2.265, I 36.9
d 2.236, I 29.7
d 2.175, I 100.0
d 2.132, I 77.7
d 2.061, I 42.6
d 2.007, I 28.3

Structure:
```
TcRh4W
1.0
7.4903 0.0000 0.0000
0.0000 4.7044 0.0000
-0.9617 0.0000 5.0569
Tc Rh W
2 8 2
Direct
0.0000 0.0858 0.2500
0.0000 0.9142 0.7500
0.1686 0.4138 0.9401
0.1686 0.5862 0.4401
0.3435 0.0892 0.3487
0.3435 0.9108 0.8487
0.6565 0.0892 0.1513
0.6565 0.9108 0.6513
0.8314 0.4138 0.5599
0.8314 0.5862 0.0599
0.5000 0.4194 0.7500
0.5000 0.5806 0.2500
```

=====

[11]
The following is a calculated powder XRD pattern of TcRhW. It was derived from a cell relaxed with GGA-PBE, using λ = 1.5418 Å (Cu Kα).
Intensities are scaled so that the largest is 100.

The 6 most intense peaks (2θ from 15° to 90°), low angle first:
d 2.313, I 47.3
d 2.238, I 40.2
d 2.190, I 81.9
d 2.156, I 100.0
d 2.133, I 50.7
d 1.230, I 26.9

Structure:
```
TcRhW
1.0
5.1132 -1.3675 0.0000
5.1132 1.3675 0.0000
-3.5668 0.0000 6.4602
Tc Rh W
2 2 2
Direct
0.1468 0.1468 0.0268
0.8532 0.8532 0.9732
0.1375 0.1375 0.6539
0.8625 0.8625 0.3461
0.4104 0.4104 0.6909
0.5896 0.5896 0.3091
```

=====

[12]
The following is a calculated powder XRD pattern of TcRhW2. It was derived from a cell relaxed with GGA-PBE, using λ = 1.5418 Å (Cu Kα).
Intensities are scaled so that the largest is 100.

The 6 most intense peaks (2θ from 15° to 90°), low angle first:
d 2.296, I 100.0
d 2.260, I 96.7
d 1.977, I 64.1
d 1.963, I 31.8
d 1.393, I 40.9
d 1.184, I 36.5

Structure:
```
TcRhW2
1.0
2.7634 0.0000 0.0000
0.0000 3.9267 0.0000
0.0000 0.0000 5.6596
Tc Rh W
1 1 2
Direct
0.0000 0.0000 0.0000
0.5000 0.5000 0.7458
0.0000 0.0000 0.5090
0.5000 0.5000 0.2368
```

=====

[13]
The following is a calculated powder XRD pattern of YTcRh4. It was derived from a cell relaxed with GGA-PBE, using λ = 1.5418 Å (Cu Kα).
Intensities are scaled so that the largest is 100.

The 6 most intense peaks (2θ from 15° to 90°), low angle first:
d 2.609, I 24.2
d 2.225, I 100.0
d 2.130, I 43.6
d 1.420, I 30.9
d 1.304, I 27.1
d 1.112, I 15.9

Structure:
```
YTcRh4
1.0
0.0000 3.6894 3.6894
3.6894 0.0000 3.6894
3.6894 3.6894 0.0000
Y Tc Rh
1 1 4
Direct
0.0000 0.0000 0.0000
0.7500 0.7500 0.7500
0.3755 0.3755 0.3755
0.3755 0.3755 0.8735
0.3755 0.8735 0.3755
0.8735 0.3755 0.3755
```

=====

[14]
The following is a calculated powder XRD pattern of ZnTcRh. It was derived from a cell relaxed with GGA-PBE, using λ = 1.5418 Å (Cu Kα).
Intensities are scaled so that the largest is 100.

The 6 most intense peaks (2θ from 15° to 90°), low angle first:
d 2.218, I 100.0
d 1.966, I 34.6
d 1.840, I 13.8
d 1.390, I 10.8
d 1.343, I 18.8
d 1.178, I 24.6

Structure:
```
ZnTcRh
1.0
-1.3899 1.3899 5.5190
1.3899 -1.3899 5.5190
1.3899 1.3899 -5.5190
Zn Tc Rh
1 1 1
Direct
0.0000 0.0000 0.0000
0.3264 0.3264 0.0000
0.6673 0.6673 0.0000
```